# 1
# Fe4O7F
Calculated powder X-ray diffraction pattern, copper Kα. Input: a DFT-relaxed cell (GGA+U, the Materials Project).
Intensities are scaled so that the largest is 100.

Atomic structure:
```
Fe4O7F
1.0
5.5215 0.0000 0.0000
1.6147 5.2845 0.0000
0.6453 0.4824 8.8553
Fe O F
8 14 2
Direct
0.0000 0.0000 0.0000 Fe
0.0927 0.1387 0.3681 Fe
0.2324 0.2815 0.7614 Fe
0.3450 0.3982 0.1328 Fe
0.4923 0.5339 0.5028 Fe
0.6040 0.6610 0.8695 Fe
0.7226 0.7716 0.2487 Fe
0.8609 0.9053 0.6268 Fe
0.0163 0.0529 0.7835 O
0.0282 0.4591 0.2572 O
0.1728 0.8355 0.5015 O
0.2021 0.2381 0.9811 O
0.2979 0.6998 0.0019 O
0.4137 0.0815 0.2541 O
0.4548 0.4981 0.7224 O
0.5085 0.5525 0.2792 O
0.5436 0.9782 0.7445 O
0.7062 0.7552 0.4661 O
0.7577 0.7972 0.0297 O
0.7912 0.2181 0.5015 O
0.9265 0.5874 0.7480 O
0.9439 0.9839 0.2176 O
0.2586 0.3040 0.5287 F
0.6790 0.3199 0.0013 F
```

Largest 10 diffraction maxima, by angle, 2θ = 10–90°:
2θ = 27.2°, d = 3.283 Å, intensity 100
2θ = 35.7°, d = 2.517 Å, intensity 51
2θ = 38.8°, d = 2.322 Å, intensity 10
2θ = 40.8°, d = 2.213 Å, intensity 10
2θ = 53.7°, d = 1.707 Å, intensity 51
2θ = 56.0°, d = 1.643 Å, intensity 8
2θ = 56.1°, d = 1.640 Å, intensity 8
2θ = 61.9°, d = 1.498 Å, intensity 8
2θ = 68.2°, d = 1.376 Å, intensity 15
2θ = 68.9°, d = 1.363 Å, intensity 11

# 2
# Fe4OF7
Calculated powder X-ray diffraction pattern, copper Kα. Input: a DFT-relaxed cell (GGA+U, the Materials Project).
Intensities are scaled so that the largest is 100.

Atomic structure:
```
Fe4OF7
1.0
6.5224 0.0000 0.0000
0.0000 4.8117 0.0000
-3.2182 0.0000 9.6158
Fe O F
8 2 14
Direct
0.0378 0.0000 0.3641 Fe
0.1879 0.5142 0.1203 Fe
0.3115 0.0348 0.8674 Fe
0.4348 0.4986 0.6288 Fe
0.5652 0.9986 0.3712 Fe
0.6885 0.5348 0.1326 Fe
0.8121 0.0142 0.8797 Fe
0.9622 0.5000 0.6359 Fe
0.2209 0.3241 0.7183 O
0.7791 0.8241 0.2817 O
0.0042 0.8097 0.7698 F
0.1093 0.2128 0.9764 F
0.1250 0.7266 0.5258 F
0.2459 0.8107 0.2775 F
0.3451 0.1928 0.4685 F
0.3826 0.7278 0.0195 F
0.4825 0.3161 0.2291 F
0.5175 0.8161 0.7709 F
0.6174 0.2278 0.9805 F
0.6549 0.6928 0.5315 F
0.7541 0.3107 0.7225 F
0.8750 0.2266 0.4742 F
0.8907 0.7128 0.0236 F
0.9958 0.3097 0.2302 F
```

Largest 10 diffraction maxima, by angle, 2θ = 10–90°:
2θ = 26.2°, d = 3.401 Å, intensity 100
2θ = 33.2°, d = 2.701 Å, intensity 44
2θ = 33.3°, d = 2.693 Å, intensity 15
2θ = 38.2°, d = 2.358 Å, intensity 11
2θ = 38.3°, d = 2.350 Å, intensity 11
2θ = 50.8°, d = 1.798 Å, intensity 32
2θ = 50.9°, d = 1.793 Å, intensity 33
2θ = 53.9°, d = 1.701 Å, intensity 20
2θ = 56.4°, d = 1.631 Å, intensity 11
2θ = 64.8°, d = 1.439 Å, intensity 11

# 3
# Fe10O19F
Calculated powder X-ray diffraction pattern, copper Kα. Input: a DFT-relaxed cell (GGA+U, the Materials Project).
Intensities are scaled so that the largest is 100.

Atomic structure:
```
Fe10O19F
1.0
14.8155 0.0000 0.0000
0.0000 3.2566 3.3057
0.0000 -3.2566 3.3057
Fe O F
10 19 1
Direct
0.0000 0.0000 0.0000 Fe
0.0999 0.4997 0.4997 Fe
0.1981 0.9989 0.9989 Fe
0.2995 0.4988 0.4988 Fe
0.3952 0.9942 0.9942 Fe
0.5000 0.5209 0.5209 Fe
0.6048 0.9942 0.9942 Fe
0.7005 0.4988 0.4988 Fe
0.8019 0.9989 0.9989 Fe
0.9001 0.4997 0.4997 Fe
0.0000 0.3099 0.6905 O
0.0000 0.6905 0.3099 O
0.0993 0.1878 0.1878 O
0.0989 0.8111 0.8111 O
0.1993 0.3075 0.6883 O
0.1993 0.6883 0.3075 O
0.2937 0.8058 0.8058 O
0.2960 0.1888 0.1888 O
0.3996 0.3109 0.6949 O
0.3996 0.6949 0.3109 O
0.5000 0.8188 0.8188 O
0.6004 0.3109 0.6949 O
0.6004 0.6949 0.3109 O
0.7040 0.1888 0.1888 O
0.7063 0.8058 0.8058 O
0.8007 0.3075 0.6883 O
0.8007 0.6883 0.3075 O
0.9007 0.1878 0.1878 O
0.9011 0.8111 0.8111 O
0.5000 0.2022 0.2022 F
```

Largest 10 diffraction maxima, by angle, 2θ = 10–90°:
2θ = 27.0°, d = 3.306 Å, intensity 100
2θ = 27.4°, d = 3.257 Å, intensity 98
2θ = 36.0°, d = 2.497 Å, intensity 99
2θ = 38.8°, d = 2.320 Å, intensity 22
2θ = 53.7°, d = 1.707 Å, intensity 58
2θ = 54.2°, d = 1.693 Å, intensity 57
2θ = 55.6°, d = 1.653 Å, intensity 16
2θ = 56.5°, d = 1.628 Å, intensity 16
2θ = 62.7°, d = 1.482 Å, intensity 15
2θ = 68.4°, d = 1.371 Å, intensity 40

# 4
# Fe3O5F
Calculated powder X-ray diffraction pattern, copper Kα. Input: a DFT-relaxed cell (GGA+U, the Materials Project).
Intensities are scaled so that the largest is 100.

Atomic structure:
```
Fe3O5F
1.0
2.9570 0.0000 0.0000
0.0000 4.5304 0.0000
0.0000 0.0000 13.5803
Fe O F
6 10 2
Direct
0.0000 0.2176 0.0000 Fe
0.0000 0.2249 0.6841 Fe
0.0000 0.2711 0.3394 Fe
0.5000 0.7289 0.8394 Fe
0.5000 0.7751 0.1841 Fe
0.5000 0.7824 0.5000 Fe
0.0000 0.5426 0.9011 O
0.0000 0.5667 0.2425 O
0.0000 0.9058 0.7742 O
0.0000 0.9412 0.1137 O
0.0000 0.9825 0.4348 O
0.5000 0.0175 0.9348 O
0.5000 0.0588 0.6137 O
0.5000 0.0942 0.2742 O
0.5000 0.4333 0.7425 O
0.5000 0.4574 0.4011 O
0.0000 0.5558 0.5722 F
0.5000 0.4442 0.0722 F
```

Largest 10 diffraction maxima, by angle, 2θ = 10–90°:
2θ = 27.9°, d = 3.202 Å, intensity 100
2θ = 36.3°, d = 2.476 Å, intensity 56
2θ = 39.8°, d = 2.264 Å, intensity 9
2θ = 41.6°, d = 2.172 Å, intensity 15
2θ = 55.0°, d = 1.671 Å, intensity 56
2θ = 57.6°, d = 1.601 Å, intensity 15
2θ = 62.9°, d = 1.478 Å, intensity 9
2θ = 65.1°, d = 1.432 Å, intensity 8
2θ = 70.0°, d = 1.344 Å, intensity 18
2θ = 70.1°, d = 1.342 Å, intensity 12

# 5
# Fe5O2F8
Calculated powder X-ray diffraction pattern, copper Kα. Input: a DFT-relaxed cell (GGA+U, the Materials Project).
Intensities are scaled so that the largest is 100.

Atomic structure:
```
Fe5O2F8
1.0
4.8477 0.0000 0.0000
0.1232 7.9669 0.0000
0.3356 3.2772 9.5822
Fe O F
10 4 16
Direct
0.0000 0.0000 0.0000 Fe
0.0009 0.5845 0.2051 Fe
0.0134 0.7888 0.5887 Fe
0.0160 0.1883 0.3905 Fe
0.4872 0.8931 0.3046 Fe
0.5061 0.0969 0.6954 Fe
0.5292 0.2836 0.0871 Fe
0.5308 0.6884 0.8855 Fe
0.5395 0.4829 0.4804 Fe
0.9801 0.4013 0.8023 Fe
0.1895 0.9513 0.4304 O
0.8159 0.6385 0.7670 O
0.8206 0.2411 0.9625 O
0.8330 0.4035 0.3740 O
0.2115 0.5527 0.6165 F
0.2117 0.1727 0.8065 F
0.2120 0.7487 0.0118 F
0.2236 0.3364 0.2121 F
0.3062 0.2454 0.5136 F
0.3081 0.8422 0.7236 F
0.3095 0.4700 0.9034 F
0.3190 0.0454 0.1141 F
0.3185 0.6486 0.3155 F
0.6944 0.9182 0.8769 F
0.6960 0.5470 0.0611 F
0.7197 0.7271 0.4798 F
0.7234 0.1260 0.2766 F
0.7254 0.3342 0.6740 F
0.8030 0.8291 0.1802 F
0.8081 0.0241 0.5804 F
```

Largest 10 diffraction maxima, by angle, 2θ = 10–90°:
2θ = 25.7°, d = 3.471 Å, intensity 100
2θ = 26.5°, d = 3.358 Å, intensity 95
2θ = 33.7°, d = 2.662 Å, intensity 27
2θ = 33.8°, d = 2.649 Å, intensity 81
2θ = 50.7°, d = 1.800 Å, intensity 34
2θ = 51.7°, d = 1.768 Å, intensity 27
2θ = 52.7°, d = 1.735 Å, intensity 21
2θ = 58.1°, d = 1.587 Å, intensity 19
2θ = 64.6°, d = 1.442 Å, intensity 17
2θ = 64.9°, d = 1.437 Å, intensity 17

# 6
# Fe5O8F2
Calculated powder X-ray diffraction pattern, copper Kα. Input: a DFT-relaxed cell (GGA+U, the Materials Project).
Intensities are scaled so that the largest is 100.

Atomic structure:
```
Fe5O8F2
1.0
5.5489 0.0000 0.0000
0.0000 4.6604 0.0000
-2.6384 0.0000 12.6636
Fe O F
10 16 4
Direct
0.0350 0.0000 0.1960 Fe
0.1596 0.5253 0.5975 Fe
0.2449 0.9957 0.9938 Fe
0.3585 0.5508 0.4016 Fe
0.4382 0.0370 0.7956 Fe
0.5618 0.5370 0.2044 Fe
0.6415 0.0508 0.5984 Fe
0.7551 0.4957 0.0062 Fe
0.8404 0.0253 0.4025 Fe
0.9650 0.5000 0.8040 Fe
0.0050 0.3150 0.9418 O
0.0939 0.7224 0.4580 O
0.1987 0.8200 0.8549 O
0.2048 0.3333 0.7329 O
0.2951 0.7195 0.2623 O
0.3978 0.8420 0.6592 O
0.4023 0.3422 0.5308 O
0.4967 0.7062 0.0640 O
0.5033 0.2062 0.9360 O
0.5977 0.8422 0.4692 O
0.6022 0.3420 0.3408 O
0.7049 0.2195 0.7377 O
0.7952 0.8333 0.2671 O
0.8013 0.3200 0.1451 O
0.9061 0.2224 0.5420 O
0.9950 0.8150 0.0582 O
0.1082 0.2215 0.3385 F
0.3047 0.2130 0.1401 F
0.6953 0.7130 0.8599 F
0.8918 0.7215 0.6615 F
```

Largest 10 diffraction maxima, by angle, 2θ = 10–90°:
2θ = 27.1°, d = 3.295 Å, intensity 100
2θ = 35.5°, d = 2.532 Å, intensity 53
2θ = 38.6°, d = 2.330 Å, intensity 10
2θ = 40.5°, d = 2.225 Å, intensity 14
2θ = 53.4°, d = 1.715 Å, intensity 58
2θ = 55.8°, d = 1.648 Å, intensity 16
2θ = 61.5°, d = 1.508 Å, intensity 8
2θ = 63.1°, d = 1.474 Å, intensity 9
2θ = 67.9°, d = 1.381 Å, intensity 20
2θ = 68.4°, d = 1.371 Å, intensity 11

# 7
# Fe5O2F8
Calculated powder X-ray diffraction pattern, copper Kα. Input: a DFT-relaxed cell (GGA+U, the Materials Project).
Intensities are scaled so that the largest is 100.

Atomic structure:
```
Fe5O2F8
1.0
16.0583 0.0000 0.0000
0.0000 4.7906 0.0000
0.0000 0.0000 4.7892
Fe O F
10 4 16
Direct
0.0000 0.2200 0.0000 Fe
0.0990 0.7682 0.4523 Fe
0.1937 0.2451 0.9807 Fe
0.3063 0.7549 0.4807 Fe
0.4010 0.2318 0.9523 Fe
0.5000 0.7800 0.5000 Fe
0.5990 0.2318 0.9523 Fe
0.6937 0.7549 0.4807 Fe
0.8063 0.2451 0.9807 Fe
0.9010 0.7682 0.4523 Fe
0.0942 0.0534 0.1670 O
0.4058 0.9466 0.6670 O
0.5942 0.9466 0.6670 O
0.9058 0.0534 0.1670 O
0.0000 0.5507 0.2684 F
0.0000 0.9518 0.6692 F
0.0911 0.4607 0.7605 F
0.1975 0.9453 0.6668 F
0.2000 0.5592 0.2794 F
0.3000 0.4408 0.7794 F
0.3025 0.0547 0.1668 F
0.4089 0.5393 0.2605 F
0.5000 0.0482 0.1692 F
0.5000 0.4493 0.7684 F
0.5911 0.5393 0.2605 F
0.6975 0.0547 0.1668 F
0.7000 0.4408 0.7794 F
0.8000 0.5592 0.2794 F
0.8025 0.9453 0.6668 F
0.9089 0.4607 0.7605 F
```

Largest 10 diffraction maxima, by angle, 2θ = 10–90°:
2θ = 26.3°, d = 3.387 Å, intensity 100
2θ = 33.6°, d = 2.668 Å, intensity 57
2θ = 38.6°, d = 2.331 Å, intensity 20
2θ = 51.3°, d = 1.782 Å, intensity 64
2θ = 54.2°, d = 1.694 Å, intensity 19
2θ = 57.4°, d = 1.606 Å, intensity 10
2θ = 61.2°, d = 1.515 Å, intensity 9
2θ = 64.2°, d = 1.451 Å, intensity 13
2θ = 65.3°, d = 1.430 Å, intensity 22
2θ = 82.8°, d = 1.165 Å, intensity 8

# 8
# Fe6OF11
Calculated powder X-ray diffraction pattern, copper Kα. Input: a DFT-relaxed cell (GGA+U, the Materials Project).
Intensities are scaled so that the largest is 100.

Atomic structure:
```
Fe6OF11
1.0
3.2526 0.0000 0.0000
0.0000 10.2747 3.3961
0.0000 -10.2747 3.3961
Fe O F
6 1 11
Direct
0.0000 0.0000 0.0000 Fe
0.0000 0.3616 0.6936 Fe
0.0000 0.6936 0.3616 Fe
0.5000 0.1957 0.8623 Fe
0.5000 0.5398 0.5398 Fe
0.5000 0.8623 0.1957 Fe
0.5000 0.8420 0.8420 O
0.0000 0.1315 0.9351 F
0.0000 0.2632 0.7951 F
0.0000 0.4556 0.5923 F
0.0000 0.5923 0.4556 F
0.0000 0.7951 0.2632 F
0.0000 0.9351 0.1315 F
0.5000 0.1586 0.4953 F
0.5000 0.2223 0.2223 F
0.5000 0.4953 0.1586 F
0.5000 0.5627 0.8991 F
0.5000 0.8991 0.5627 F
```

Largest 10 diffraction maxima, by angle, 2θ = 10–90°:
2θ = 26.0°, d = 3.425 Å, intensity 83
2θ = 26.2°, d = 3.396 Å, intensity 84
2θ = 33.2°, d = 2.697 Å, intensity 100
2θ = 38.2°, d = 2.359 Å, intensity 19
2θ = 38.3°, d = 2.349 Å, intensity 18
2θ = 50.7°, d = 1.802 Å, intensity 57
2θ = 50.9°, d = 1.793 Å, intensity 56
2θ = 53.5°, d = 1.712 Å, intensity 18
2θ = 56.6°, d = 1.626 Å, intensity 19
2θ = 64.7°, d = 1.441 Å, intensity 40